For PmY3P4, DFT lattice parameters and positions (GGA-PBE) gives the computed powder XRD pattern in this record (Cu Kα (λ = 1.5418 Å)).

Principal peaks in the range 10° ≤ 2θ ≤ 90°, sorted by position:
27.00°, I = 57
31.28°, I = 100
44.82°, I = 71
53.11°, I = 27
55.67°, I = 25
74.14°, I = 31

Crystal structure
Unit cell a=7.003 b=7.003 c=4.046 alpha=90.00 beta=90.00 gamma=109.47
Fractional positions:
Pm (0.000, 0.000, 0.000)
Y (0.000, 0.500, 0.500)
Y (0.500, 0.000, 0.500)
Y (0.500, 0.500, 0.000)
P (0.252, 0.748, 0.000)
P (0.255, 0.255, 0.500)
P (0.745, 0.745, 0.500)
P (0.748, 0.252, 0.000)



For NiRuS, DFT lattice parameters and positions (GGA-PBE) gives the computed powder XRD pattern in this record (Cu Kα (λ = 1.5418 Å)).

Principal peaks in the range 10° ≤ 2θ ≤ 90°, sorted by position:
32.83°, I = 62
37.09°, I = 100
42.71°, I = 46
45.75°, I = 55
47.94°, I = 55
51.62°, I = 32

Crystal structure
Unit cell a=3.541 b=5.281 c=4.280 alpha=90.00 beta=90.00 gamma=90.00
Fractional positions:
Ni (0.000, 0.093, 0.000)
Ni (0.500, 0.907, 0.500)
Ru (0.000, 0.554, 0.239)
Ru (0.500, 0.446, 0.739)
S (0.000, 0.744, 0.751)
S (0.500, 0.256, 0.251)



For Na16In12Bi, DFT lattice parameters and positions (GGA-PBE) gives the computed powder XRD pattern in this record (Cu Kα (λ = 1.5418 Å)).

Principal peaks in the range 10° ≤ 2θ ≤ 90°, sorted by position:
18.41°, I = 100
18.56°, I = 68
31.85°, I = 61
32.15°, I = 83
32.32°, I = 62
35.85°, I = 68

Crystal structure
Unit cell a=10.194 b=10.194 c=10.124 alpha=108.89 beta=108.89 gamma=109.17
Fractional positions:
Na (0.000, 0.000, 0.000)
Na (0.063, 0.654, 0.354)
Na (0.070, 0.334, 0.678)
Na (0.239, 0.932, 0.256)
Na (0.301, 0.661, 0.680)
Na (0.334, 0.070, 0.678)
Na (0.342, 0.659, 0.079)
Na (0.366, 0.977, 0.982)
Na (0.653, 0.653, 0.316)
Na (0.654, 0.063, 0.354)
Na (0.659, 0.342, 0.079)
Na (0.659, 0.659, 0.672)
Na (0.661, 0.301, 0.680)
Na (0.932, 0.239, 0.256)
Na (0.960, 0.960, 0.384)
Na (0.977, 0.366, 0.982)
In (0.016, 0.832, 0.661)
In (0.020, 0.647, 0.850)
In (0.279, 0.279, 0.482)
In (0.295, 0.487, 0.323)
In (0.466, 0.846, 0.483)
In (0.471, 0.471, 0.849)
In (0.487, 0.295, 0.323)
In (0.647, 0.020, 0.850)
In (0.653, 0.839, 0.037)
In (0.832, 0.016, 0.661)
In (0.839, 0.653, 0.037)
In (0.846, 0.466, 0.483)
Bi (0.288, 0.288, 0.000)



For Tb12Sm2Tm, DFT lattice parameters and positions (GGA-PBE) gives the computed powder XRD pattern in this record (Cu Kα (λ = 1.5418 Å)).

Principal peaks in the range 10° ≤ 2θ ≤ 90°, sorted by position:
30.96°, I = 29
31.21°, I = 46
32.15°, I = 100
33.98°, I = 21
34.41°, I = 19
56.14°, I = 21

Crystal structure
Unit cell a=3.621 b=5.732 c=23.480 alpha=90.00 beta=94.39 gamma=90.00
Fractional positions:
Tb (0.030, 0.000, 0.066)
Tb (0.069, 0.500, 0.144)
Tb (0.158, 0.000, 0.321)
Tb (0.214, 0.500, 0.427)
Tb (0.279, 0.000, 0.558)
Tb (0.409, 0.000, 0.808)
Tb (0.591, 0.000, 0.192)
Tb (0.721, 0.000, 0.442)
Tb (0.786, 0.500, 0.573)
Tb (0.842, 0.000, 0.679)
Tb (0.931, 0.500, 0.856)
Tb (0.970, 0.000, 0.934)
Sm (0.359, 0.500, 0.715)
Sm (0.641, 0.500, 0.285)
Tm (0.500, 0.500, 0.000)



For CaBi2Au6, DFT lattice parameters and positions (GGA-PBE) gives the computed powder XRD pattern in this record (Cu Kα (λ = 1.5418 Å)).

Principal peaks in the range 10° ≤ 2θ ≤ 90°, sorted by position:
19.06°, I = 18
36.77°, I = 34
36.94°, I = 100
38.68°, I = 50
65.15°, I = 20
65.53°, I = 20

Crystal structure
Unit cell a=5.698 b=5.698 c=14.067 alpha=90.00 beta=90.00 gamma=120.00
Fractional positions:
Ca (0.000, 0.000, 0.000)
Ca (0.333, 0.667, 0.672)
Bi (0.000, 0.000, 0.753)
Bi (0.333, 0.667, 0.414)
Bi (0.667, 0.333, 0.097)
Bi (0.667, 0.333, 0.339)
Au (0.000, 0.000, 0.380)
Au (0.000, 0.500, 0.880)
Au (0.166, 0.331, 0.210)
Au (0.166, 0.834, 0.210)
Au (0.333, 0.667, 0.044)
Au (0.334, 0.167, 0.547)
Au (0.500, 0.000, 0.880)
Au (0.500, 0.500, 0.880)
Au (0.667, 0.333, 0.713)
Au (0.669, 0.834, 0.210)
Au (0.833, 0.167, 0.547)
Au (0.833, 0.666, 0.547)



For PrTlPd3, DFT lattice parameters and positions (GGA-PBE) gives the computed powder XRD pattern in this record (Cu Kα (λ = 1.5418 Å)).

Principal peaks in the range 10° ≤ 2θ ≤ 90°, sorted by position:
19.57°, I = 48
24.96°, I = 86
33.78°, I = 39
39.75°, I = 100
40.29°, I = 96
43.83°, I = 87

Crystal structure
Unit cell a=7.393 b=7.393 c=7.393 alpha=132.90 beta=77.16 gamma=122.79
Fractional positions:
Pr (0.311, 0.061, 0.250)
Pr (0.689, 0.939, 0.750)
Tl (0.000, 0.500, 0.500)
Tl (0.500, 0.500, 0.000)
Pd (0.124, 0.000, 0.624)
Pd (0.124, 0.500, 0.124)
Pd (0.270, 0.520, 0.750)
Pd (0.730, 0.480, 0.250)
Pd (0.876, 0.000, 0.376)
Pd (0.876, 0.500, 0.876)